Record 1
Computed X-ray diffraction stick pattern of Li4Tl4Rh3 for Cu Kα, 1.54184 Å, from the PBE geometry in Alexandria.
Kinematic intensities with the Lorentz-polarization factor, no thermal factor.

Largest 10 diffraction maxima, by intensity, 2θ from 10° to 90°:
2θ/deg, d/Å, I/Imax
39.60, 2.276, 100
37.97, 2.370, 58
29.70, 3.008, 45
69.69, 1.349, 38
15.59, 5.685, 31
27.75, 3.214, 24
54.79, 1.676, 20
20.83, 4.264, 15
26.73, 3.335, 13
72.89, 1.298, 11

Atomic structure:
a b c (Å): 3.351 3.351 17.216
angles (deg): 95.52 95.52 89.99
Fractional coordinates of all 11 atoms:
Li 0.096 0.096 0.193
Li 0.275 0.275 0.549
Li 0.725 0.725 0.451
Li 0.904 0.904 0.807
Tl 0.180 0.180 0.361
Tl 0.450 0.450 0.901
Tl 0.550 0.550 0.099
Tl 0.820 0.820 0.639
Rh 0.000 0.000 0.000
Rh 0.367 0.367 0.732
Rh 0.633 0.633 0.268

Record 2
Computed X-ray diffraction stick pattern of Mn3ZnBi for Cu Kα, 1.54184 Å, from the PBE geometry in Alexandria.
Kinematic intensities with the Lorentz-polarization factor, no thermal factor.

Largest 10 diffraction maxima, by intensity, 2θ from 10° to 90°:
2θ/deg, d/Å, I/Imax
26.91, 3.313, 100
38.42, 2.343, 81
33.11, 2.705, 75
55.46, 1.657, 54
47.53, 1.913, 45
66.14, 1.413, 29
75.99, 1.252, 24
62.70, 1.482, 20
69.49, 1.353, 18
18.94, 4.686, 13

Atomic structure:
a b c (Å): 4.686 4.686 4.686
angles (deg): 90.00 90.00 90.00
Fractional coordinates of all 5 atoms:
Mn 0.000 0.000 0.500
Mn 0.000 0.500 0.000
Mn 0.500 0.000 0.000
Zn 0.000 0.000 0.000
Bi 0.500 0.500 0.500

Record 3
Computed X-ray diffraction stick pattern of RbHfF5 for Cu Kα, 1.54184 Å, from the PBE geometry in Alexandria.
Kinematic intensities with the Lorentz-polarization factor, no thermal factor.

Largest 10 diffraction maxima, by intensity, 2θ from 10° to 90°:
2θ/deg, d/Å, I/Imax
13.08, 6.768, 100
25.89, 3.441, 74
25.78, 3.456, 73
49.32, 1.848, 46
28.23, 3.161, 45
25.26, 3.526, 44
24.90, 3.576, 43
47.41, 1.918, 41
26.34, 3.384, 39
48.82, 1.865, 37

Atomic structure:
a b c (Å): 7.861 7.861 7.991
angles (deg): 90.00 90.00 61.14
Fractional coordinates of all 28 atoms:
Rb 0.204 0.204 0.000
Rb 0.296 0.296 0.500
Rb 0.704 0.704 0.500
Rb 0.796 0.796 0.000
Hf 0.162 0.838 0.661
Hf 0.338 0.662 0.161
Hf 0.662 0.338 0.839
Hf 0.838 0.162 0.339
F 0.061 0.939 0.210
F 0.071 0.643 0.710
F 0.087 0.087 0.500
F 0.143 0.571 0.210
F 0.210 0.790 0.937
F 0.290 0.710 0.437
F 0.357 0.929 0.710
F 0.413 0.413 0.000
F 0.429 0.857 0.210
F 0.439 0.561 0.710
F 0.561 0.439 0.290
F 0.571 0.143 0.790
F 0.587 0.587 0.000
F 0.643 0.071 0.290
F 0.710 0.290 0.563
F 0.790 0.210 0.063
F 0.857 0.429 0.790
F 0.913 0.913 0.500
F 0.929 0.357 0.290
F 0.939 0.061 0.790

Record 4
Computed X-ray diffraction stick pattern of V5W7 for Cu Kα, 1.54184 Å, from the PBE geometry in Alexandria.
Kinematic intensities with the Lorentz-polarization factor, no thermal factor.

Largest 10 diffraction maxima, by intensity, 2θ from 10° to 90°:
2θ/deg, d/Å, I/Imax
41.04, 2.200, 100
41.10, 2.196, 50
74.73, 1.270, 34
59.36, 1.557, 17
74.95, 1.267, 16
15.01, 5.903, 13
89.17, 1.098, 11
59.68, 1.549, 8
34.67, 2.587, 7
30.27, 2.953, 7

Atomic structure:
a b c (Å): 9.804 9.804 3.116
angles (deg): 90.00 90.00 142.98
Fractional coordinates of all 12 atoms:
V 0.000 0.000 0.000
V 0.000 0.500 0.500
V 0.168 0.832 0.000
V 0.500 0.000 0.500
V 0.832 0.168 0.000
W 0.159 0.329 0.500
W 0.329 0.159 0.500
W 0.330 0.670 0.000
W 0.500 0.500 0.000
W 0.670 0.330 0.000
W 0.671 0.841 0.500
W 0.841 0.671 0.500